Entry 1:
Calculated powder XRD pattern
Compound: KCuAu
Radiation: Cu Kα, 1.54184 Å
Structure: a cell relaxed with GGA-PBE

Structural model:
Lattice parameters (Å, degrees): 2.894 8.496 8.496 99.25 90.00 90.00
Fractional coordinates of all 9 atoms:
K 0.000 0.000 0.000
K 0.000 0.336 0.665
K 0.000 0.665 0.336
Cu 0.500 0.069 0.402
Cu 0.500 0.402 0.069
Cu 0.500 0.738 0.738
Au 0.000 0.275 0.275
Au 0.000 0.610 0.944
Au 0.000 0.944 0.610

Principal peaks in the range 5° ≤ 2θ ≤ 70°, by intensity:
- 2θ = 16.10°, rel. 100
- 2θ = 38.33°, rel. 71
- 2θ = 45.11°, rel. 62
- 2θ = 22.13°, rel. 32
- 2θ = 32.54°, rel. 31
- 2θ = 32.02°, rel. 29
- 2θ = 41.87°, rel. 19
- 2θ = 56.71°, rel. 15
- 2θ = 54.01°, rel. 14
- 2θ = 30.90°, rel. 13
- 2θ = 45.49°, rel. 12
- 2θ = 63.53°, rel. 9


Entry 2:
Calculated powder XRD pattern
Compound: LaNd2Cu2Si4Au2
Radiation: Cu Kα, 1.54184 Å
Structure: a cell relaxed with GGA-PBE

Structural model:
Lattice parameters (Å, degrees): 12.601 12.601 12.601 160.79 160.41 27.57
Fractional coordinates of all 11 atoms:
La 0.000 0.000 0.000
Nd 0.146 0.646 0.500
Nd 0.854 0.354 0.500
Cu 0.406 0.906 0.500
Cu 0.594 0.094 0.500
Si 0.312 0.812 0.500
Si 0.451 0.451 0.000
Si 0.549 0.549 0.000
Si 0.688 0.188 0.500
Au 0.250 0.250 0.000
Au 0.750 0.750 0.000

Principal peaks in the range 5° ≤ 2θ ≤ 70°, by intensity:
- 2θ = 33.25°, rel. 100
- 2θ = 7.22°, rel. 65
- 2θ = 42.16°, rel. 28
- 2θ = 33.06°, rel. 19
- 2θ = 43.03°, rel. 17
- 2θ = 29.19°, rel. 14
- 2θ = 37.19°, rel. 14
- 2θ = 61.81°, rel. 11
- 2θ = 23.81°, rel. 11
- 2θ = 68.89°, rel. 9
- 2θ = 46.16°, rel. 9
- 2θ = 55.31°, rel. 9


Entry 3:
Calculated powder XRD pattern
Compound: Mg2Sc2ZnCu2Au
Radiation: Cu Kα, 1.54184 Å
Structure: a cell relaxed with GGA-PBE

Structural model:
Lattice parameters (Å, degrees): 4.601 4.601 6.508 90.00 90.00 90.00
Fractional coordinates of all 8 atoms:
Mg 0.000 0.500 0.250
Mg 0.500 0.000 0.750
Sc 0.000 0.500 0.749
Sc 0.500 0.000 0.251
Zn 0.500 0.500 0.500
Cu 0.000 0.000 0.500
Cu 0.500 0.500 0.000
Au 0.000 0.000 0.000

Principal peaks in the range 5° ≤ 2θ ≤ 70°, by intensity:
- 2θ = 39.16°, rel. 100
- 2θ = 27.41°, rel. 30
- 2θ = 56.58°, rel. 16
- 2θ = 23.68°, rel. 15
- 2θ = 63.99°, rel. 11
- 2θ = 13.61°, rel. 11
- 2θ = 19.29°, rel. 10
- 2θ = 48.46°, rel. 9
- 2θ = 46.28°, rel. 8
- 2θ = 30.73°, rel. 7
- 2θ = 33.74°, rel. 5
- 2θ = 41.64°, rel. 4


Entry 4:
Calculated powder XRD pattern
Compound: Y3Mg3ZnCuAu
Radiation: Cu Kα, 1.54184 Å
Structure: a cell relaxed with GGA-PBE

Structural model:
Lattice parameters (Å, degrees): 7.544 7.544 4.071 90.00 90.00 120.00
Fractional coordinates of all 9 atoms:
Y 0.076 0.741 0.000
Y 0.259 0.335 0.000
Y 0.665 0.924 0.000
Mg 0.426 0.093 0.500
Mg 0.667 0.574 0.500
Mg 0.907 0.333 0.500
Zn 0.000 0.000 0.500
Cu 0.667 0.333 0.000
Au 0.333 0.667 0.500

Principal peaks in the range 5° ≤ 2θ ≤ 70°, by intensity:
- 2θ = 32.35°, rel. 100
- 2θ = 35.22°, rel. 97
- 2θ = 13.55°, rel. 58
- 2θ = 23.58°, rel. 46
- 2θ = 41.46°, rel. 41
- 2θ = 42.83°, rel. 40
- 2θ = 25.78°, rel. 31
- 2θ = 36.38°, rel. 30
- 2θ = 66.47°, rel. 26
- 2θ = 62.45°, rel. 24
- 2θ = 44.51°, rel. 23
- 2θ = 55.51°, rel. 19